Structure and computed powder X-ray diffraction pattern of LiAc2Tl (a crystal structure in the Materials Project, relaxed with GGA-PBE; Cu Ka).

Top 6 peaks for 2θ from 10° to 80°, in order of rising 2θ:
| 2theta | I/Imax | index |
| --- | --- | --- |
| 18.74 | 20 | 1 1 1 |
| 21.68 | 16 | 2 0 0 |
| 30.84 | 100 | 2 2 0 |
| 44.18 | 19 | 4 0 0 |
| 54.85 | 41 | 4 2 2 |
| 72.97 | 18 | 6 2 0 |

Structure:
abc: 8.1995 8.1995 8.1995
angles: 90.00 90.00 90.00
Space group Fm-3m (No. 225)
One atom of each set of equivalent atoms:
Li 0.0000 0.0000 0.0000 [4 per cell]
Ac 0.2500 0.2500 0.2500 [8 per cell]
Tl 0.0000 0.0000 0.5000 [4 per cell]